(1)
Starting from a structure optimized by DFT (GGA-PBE), the powder X-ray diffraction pattern of CdPdSO was calculated for Cu Kα.
Intensities are scaled so that the largest is 100.

Atomic structure:
a = 3.6450 Å, b = 11.6447 Å, c = 5.9152 Å
α = 90.00°, β = 90.00°, γ = 90.00°
Space group Cmc2_1 (No. 36)
Symmetry-distinct sites (fractional):
Cd (0.0000, 0.2346, 0.0000) [4 per cell]
Pd (0.0000, 0.4950, 0.1414) [4 per cell]
S (0.0000, 0.0927, 0.3803) [4 per cell]
O (0.0000, 0.3693, 0.3991) [4 per cell]

Largest 10 diffraction maxima, in order of rising 2θ, 2θ = 10–90°:
index, Position (°2θ), I (rel.)
1 1 0, 25.61, 44
1 1 1, 29.80, 84
0 4 0, 30.71, 64
1 3 0, 33.73, 59
0 2 2, 34.00, 87
1 3 1, 37.09, 100
1 1 2, 40.01, 66
0 4 2, 43.63, 42
1 3 2, 45.91, 34
2 0 0, 50.05, 38

---

(2)
Starting from a structure optimized by DFT (GGA-PBE), the powder X-ray diffraction pattern of ScAgPbSe3 was calculated for Cu Kα.
Intensities are scaled so that the largest is 100.

Atomic structure:
a = 7.6967 Å, b = 4.0144 Å, c = 9.9103 Å
α = 90.00°, β = 106.83°, γ = 90.00°
Space group P2_1/m (No. 11)
Symmetry-distinct sites (fractional):
Sc (0.1936, 0.2500, 0.1599) [2 per cell]
Ag (0.4094, 0.7500, 0.4026) [2 per cell]
Pb (0.2347, 0.7500, 0.7077) [2 per cell]
Se (0.0655, 0.2500, 0.8723) [2 per cell]
Se (0.2000, 0.2500, 0.4480) [2 per cell]
Se (0.4305, 0.7500, 0.1466) [2 per cell]

Largest 10 diffraction maxima, in order of rising 2θ, 2θ = 10–90°:
index, Position (°2θ), I (rel.)
1 0 1, 17.25, 44
1 0 -3, 27.28, 32
2 0 1, 28.42, 40
1 1 -2, 29.40, 94
2 1 -1, 32.31, 82
2 1 0, 33.00, 49
1 1 -3, 35.41, 60
0 1 3, 36.16, 39
2 1 1, 36.31, 100
0 2 0, 45.16, 65

---

(3)
Starting from a structure optimized by DFT (GGA-PBE), the powder X-ray diffraction pattern of Pr2Re3B6 was calculated for Cu Kα.
Intensities are scaled so that the largest is 100.

Atomic structure:
a = 6.8148 Å, b = 10.6854 Å, c = 7.6260 Å
α = 90.00°, β = 90.97°, γ = 90.00°
Space group C2/c (No. 15)
Symmetry-distinct sites (fractional):
Pr (0.2338, 0.1745, 0.1737) [8 per cell]
Re (0.0000, 0.0834, 0.7500) [4 per cell]
Re (0.1031, 0.4078, 0.4123) [8 per cell]
B (0.1046, 0.0458, 0.4666) [8 per cell]
B (0.1277, 0.2132, 0.5198) [8 per cell]
B (0.1977, 0.4555, 0.1324) [8 per cell]

Largest 10 diffraction maxima, in order of rising 2θ, 2θ = 10–90°:
index, Position (°2θ), I (rel.)
1 1 2, 28.28, 86
2 2 0, 31.13, 21
2 2 -1, 33.17, 100
0 4 0, 33.54, 21
0 4 1, 35.61, 60
1 1 -3, 38.53, 36
3 1 1, 42.57, 26
1 3 3, 46.02, 26
3 3 1, 49.23, 23
2 6 -2, 63.64, 19

---

(4)
Starting from a structure optimized by DFT (GGA-PBE), the powder X-ray diffraction pattern of Zn2Si2AsP3 was calculated for Cu Kα.
Intensities are scaled so that the largest is 100.

Atomic structure:
a = 11.9322 Å, b = 5.4646 Å, c = 5.4804 Å
α = 90.00°, β = 116.97°, γ = 90.00°
Space group C2 (No. 5)
Symmetry-distinct sites (fractional):
Zn (0.1281, 0.0000, 0.3704) [4 per cell]
Si (0.1274, 0.4851, 0.8844) [4 per cell]
As (0.0000, 0.7277, 0.5000) [2 per cell]
P (0.0000, 0.2571, 0.0000) [2 per cell]
P (0.2499, 0.2407, 0.7684) [4 per cell]

Largest 10 diffraction maxima, in order of rising 2θ, 2θ = 10–90°:
index, Position (°2θ), I (rel.)
0 0 1, 18.21, 31
1 1 1, 28.46, 92
3 1 -1, 28.59, 100
2 2 -2, 46.96, 44
2 0 2, 47.49, 22
4 2 0, 47.76, 64
1 1 -3, 55.70, 14
1 3 1, 55.93, 38
5 1 1, 57.05, 13
8 2 -4, 88.00, 14

---

(5)
Starting from a structure optimized by DFT (GGA-PBE), the powder X-ray diffraction pattern of HfScAg2Sn2 was calculated for Cu Kα.
Intensities are scaled so that the largest is 100.

Atomic structure:
a = 4.6677 Å, b = 4.6677 Å, c = 6.6597 Å
α = 90.00°, β = 90.00°, γ = 120.00°
Space group P3m1 (No. 156)
Symmetry-distinct sites (fractional):
Hf (0.0000, 0.0000, 0.0000) [1 per cell]
Sc (0.0000, 0.0000, 0.4990) [1 per cell]
Ag (0.3333, 0.6667, 0.8061) [1 per cell]
Ag (0.6667, 0.3333, 0.2979) [1 per cell]
Sn (0.3333, 0.6667, 0.2356) [1 per cell]
Sn (0.6667, 0.3333, 0.7330) [1 per cell]

Largest 10 diffraction maxima, in order of rising 2θ, 2θ = 10–90°:
index, Position (°2θ), I (rel.)
0 0 1, 13.29, 15
0 1 1, 25.78, 28
1 0 2, 34.91, 100
1 1 0, 38.58, 97
1 0 3, 46.68, 18
0 2 2, 53.00, 30
2 1 2, 67.44, 29
1 1 4, 69.33, 19
3 0 0, 69.80, 17
2 2 0, 82.70, 11

---

(6)
Starting from a structure optimized by DFT (GGA-PBE), the powder X-ray diffraction pattern of Cu3Ag4 was calculated for Cu Kα.
Intensities are scaled so that the largest is 100.

Atomic structure:
a = 2.8113 Å, b = 2.8113 Å, c = 47.4208 Å
α = 90.00°, β = 90.00°, γ = 120.00°
Space group R3m (No. 160, hexagonal axes)
Symmetry-distinct sites (fractional):
Cu (0.0000, 0.0000, 0.0000) [3 per cell]
Cu (0.0000, 0.0000, 0.1354) [3 per cell]
Cu (0.0000, 0.0000, 0.7079) [3 per cell]
Ag (0.0000, 0.0000, 0.2863) [3 per cell]
Ag (0.0000, 0.0000, 0.4217) [3 per cell]
Ag (0.0000, 0.0000, 0.5675) [3 per cell]
Ag (0.0000, 0.0000, 0.8487) [3 per cell]

Largest 10 diffraction maxima, in order of rising 2θ, 2θ = 10–90°:
index, Position (°2θ), I (rel.)
0 0 18, 34.03, 5
1 0 7, 39.32, 100
0 0 21, 39.92, 27
0 1 14, 45.90, 60
1 1 0, 66.52, 20
1 0 28, 67.35, 13
0 2 7, 80.10, 11
1 1 21, 80.49, 19
0 1 35, 81.26, 6
2 0 14, 84.59, 10